1.
Rb2ZnI3: theoretical PXRD pattern (CuKα), based on a structure optimized by DFT (GGA-PBE).

Top 12 peaks for 10 to 80 degrees two-theta, by intensity:
2theta	I/Imax
27.1	100
27.3	78
24.7	63
32.7	60
34.5	58
13.6	55
25.9	50
16.5	47
27.9	44
26.4	44
22.4	41
41.9	39

Structural model:
```
data_Rb2ZnI3
_chemical_formula_sum 'Rb4 Zn2 I6'
_cell_length_a 7.1341
_cell_length_b 8.6236
_cell_length_c 10.3940
_cell_angle_alpha 90.00
_cell_angle_beta 105.10
_cell_angle_gamma 90.00
_symmetry_space_group_name_H-M 'P 1 21/m 1'
_symmetry_Int_Tables_number 11
_symmetry_space_group_name_Hall '-P 2yb'
loop_
_atom_site_label
_atom_site_type_symbol
_atom_site_fract_x
_atom_site_fract_y
_atom_site_fract_z
Rb1 Rb 0.1610 0.2500 0.4665
Rb2 Rb 0.3250 0.7500 0.0909
Zn1 Zn 0.4365 0.7500 0.7174
I1 I 0.2347 0.5012 0.7894
I2 I 0.3044 0.7500 0.4376
```

2.
Rb2ZnI4: theoretical PXRD pattern (CuKα), based on a structure optimized by DFT (GGA-PBE).

Top 12 peaks for 10 to 80 degrees two-theta, by intensity:
2theta	I/Imax
24.7	100
27.7	84
26.9	75
24.3	72
41.0	35
32.2	30
33.8	28
50.2	28
43.0	25
43.7	20
47.4	20
40.7	19

Structural model:
```
data_Rb2ZnI4
_chemical_formula_sum 'Rb4 Zn2 I8'
_cell_length_a 7.8627
_cell_length_b 8.4122
_cell_length_c 10.5991
_cell_angle_alpha 90.00
_cell_angle_beta 109.73
_cell_angle_gamma 90.00
_symmetry_space_group_name_H-M 'P 1 21 1'
_symmetry_Int_Tables_number 4
_symmetry_space_group_name_Hall 'P 2yb'
loop_
_atom_site_label
_atom_site_type_symbol
_atom_site_fract_x
_atom_site_fract_y
_atom_site_fract_z
Rb1 Rb 0.1950 0.0000 0.0366
Rb2 Rb 0.2970 0.9998 0.5857
Zn1 Zn 0.1970 0.5015 0.7842
I1 I 0.0162 0.7499 0.2771
I2 I 0.0198 0.2523 0.2783
I3 I 0.3664 0.5125 0.0473
I4 I 0.4199 0.5105 0.6461
```

3.
Rb2ZnI4: theoretical PXRD pattern (CuKα), based on a structure optimized by DFT (GGA-PBE).

Top 12 peaks for 10 to 80 degrees two-theta, by intensity:
2theta	I/Imax
24.6	100
27.9	81
24.4	69
26.8	57
40.8	41
43.3	34
32.1	31
50.4	29
34.0	28
42.3	17
13.8	17
21.3	17

Structural model:
```
data_Rb2ZnI4
_chemical_formula_sum 'Rb4 Zn2 I8'
_cell_length_a 7.9380
_cell_length_b 8.3564
_cell_length_c 10.5394
_cell_angle_alpha 90.00
_cell_angle_beta 109.22
_cell_angle_gamma 90.00
_symmetry_space_group_name_H-M 'P 1 21/m 1'
_symmetry_Int_Tables_number 11
_symmetry_space_group_name_Hall '-P 2yb'
loop_
_atom_site_label
_atom_site_type_symbol
_atom_site_fract_x
_atom_site_fract_y
_atom_site_fract_z
Rb1 Rb 0.2008 0.2500 0.0396
Rb2 Rb 0.2875 0.2500 0.5827
Zn1 Zn 0.2006 0.7500 0.7863
I1 I 0.0134 0.5015 0.2747
I2 I 0.3692 0.7500 0.0492
I3 I 0.4186 0.7500 0.6440
```